1.
# Li2NiCSO7
Calculated PXRD pattern, Cu Kα (λ = 1.5418 Å). Input: a structure optimized by DFT (PBE+U).
Neutral-atom scattering factors, no anomalous dispersion.

Peak list (10 most intense, 15 to 90 degrees two-theta, sorted by position)
(0 1 1), 2θ = 17.20°, I = 60; (1 0 -1), 2θ = 19.78°, I = 46; (1 0 1), 2θ = 21.38°, I = 54; (1 1 0), 2θ = 22.63°, I = 24; (1 0 -2), 2θ = 26.03°, I = 65; (0 2 0), 2θ = 27.83°, I = 100; (1 0 2), 2θ = 28.50°, I = 27; (1 0 -3), 2θ = 34.41°, I = 23; (1 1 3), 2θ = 40.00°, I = 26; (3 0 -2), 2θ = 57.71°, I = 22

Crystal structure
Unit cell a=4.9903 b=6.4122 c=8.7103 alpha=90.00 beta=95.13 gamma=90.00
Space group P2_1/m (No. 11)
One atom of each set of equivalent atoms:
1 Li 0.2167 0.0174 0.3082
2 Ni 0.2225 0.7500 0.8503
3 C 0.2689 0.7500 0.5675
4 S 0.2618 0.2500 0.9167
5 O 0.0329 0.7500 0.6233
6 O 0.1593 0.2500 0.0721
7 O 0.1636 0.0651 0.8259
8 O 0.2944 0.7500 0.4235
9 O 0.4380 0.7500 0.0621
10 O 0.4769 0.7500 0.6720


2.
# LiVPCO7
Calculated PXRD pattern, Cu Kα (λ = 1.5418 Å). Input: a structure optimized by DFT (PBE+U).
Neutral-atom scattering factors, no anomalous dispersion.

Peak list (10 most intense, 15 to 90 degrees two-theta, sorted by position)
(0 1 1), 2θ = 17.48°, I = 41; (1 0 -1), 2θ = 19.21°, I = 54; (1 0 1), 2θ = 21.08°, I = 100; (1 1 1), 2θ = 25.31°, I = 18; (1 0 -2), 2θ = 26.04°, I = 31; (0 2 0), 2θ = 27.89°, I = 95; (2 0 -1), 2θ = 35.15°, I = 24; (1 2 1), 2θ = 35.23°, I = 13; (1 1 3), 2θ = 40.92°, I = 20; (2 0 -3), 2θ = 45.37°, I = 15

Crystal structure
Unit cell a=5.2145 b=6.3985 c=8.3695 alpha=90.00 beta=95.86 gamma=90.00
Space group P2_1/m (No. 11)
One atom of each set of equivalent atoms:
1 Li 0.1898 0.2500 0.0999
2 V 0.2113 0.7500 0.3230
3 P 0.2527 0.2500 0.4231
4 C 0.3486 0.7500 0.0511
5 O 0.0771 0.2500 0.5618
6 O 0.1004 0.7500 0.0770
7 O 0.1938 0.0611 0.3096
8 O 0.4346 0.7500 0.9186
9 O 0.4652 0.7500 0.5038
10 O 0.4962 0.7500 0.1904